The following is a computed powder X-ray diffraction pattern of Ac2LaNdDy. It was derived from a cell relaxed with PBE, using Cu Ka.
Peak positions follow from Bragg's law for the DFT cell and can differ from measured ones.

Largest 10 diffraction maxima, low angle first, 2θ = 10–90°:
Position (°2θ)	Rel. int.
18.70	20
27.30	25
27.53	100
27.74	29
30.25	27
31.94	21
32.89	23
35.77	28
37.93	23
48.39	22

Crystal structure
```
Ac2LaNdDy
1.0
6.5345 0.0000 0.0000
0.0000 8.8689 0.0000
0.0000 0.0000 6.9002
Ac La Nd Dy
4 2 2 2
direct
0.2500 0.2067 0.2124 Ac
0.2500 0.7933 0.2124 Ac
0.7500 0.2067 0.7876 Ac
0.7500 0.7933 0.7876 Ac
0.2500 0.5000 0.9178 La
0.7500 0.5000 0.0822 La
0.2500 0.0000 0.6835 Nd
0.7500 0.0000 0.3165 Nd
0.0000 0.5000 0.5000 Dy
0.5000 0.5000 0.5000 Dy
```